Diffraction record for RbSnBr2Cl. The powder XRD pattern is calculated, not measured: it uses a structure optimized by DFT (PBE) and a wavelength of 1.5418 Å.
Peak positions follow from Bragg's law for the DFT cell and can differ from measured ones.

Peak list (12 most intense, 15° ≤ 2θ ≤ 90°, by angle)
2theta	I/Imax
15.6	56
21.7	33
21.9	84
25.6	63
26.9	35
30.9	89
31.4	65
34.1	29
38.2	100
44.7	62
60.2	28
69.0	44

Cell and atoms:
Lattice parameters (Å, degrees): 8.1750 8.1750 11.3820 90.00 90.00 90.00
Space group I4cm (No. 108)
Inequivalent atoms, fractional coordinates:
Rb  0.0000  0.5000  0.0000 [4 per cell]
Sn  0.0000  0.0000  0.2449 [4 per cell]
Br  0.1878  0.3122  0.2493 [8 per cell]
Cl  0.0000  0.0000  0.0127 [4 per cell]



Diffraction record for Rb2SnBr5Cl. The powder XRD pattern is calculated, not measured: it uses a structure optimized by DFT (PBE) and a wavelength of 1.5418 Å.
Peak positions follow from Bragg's law for the DFT cell and can differ from measured ones.

Peak list (12 most intense, 15° ≤ 2θ ≤ 90°, by angle)
2theta	I/Imax
16.2	13
23.1	23
27.1	20
28.4	100
32.8	37
32.9	74
47.1	52
47.3	26
56.0	27
58.7	27
78.6	23
87.8	18

Cell and atoms:
Lattice parameters (Å, degrees): 7.6940 7.6940 10.9310 90.00 90.00 90.00
Space group I4mm (No. 107)
Inequivalent atoms, fractional coordinates:
Rb  0.0000  0.5000  0.0000 [4 per cell]
Sn  0.0000  0.0000  0.2495 [2 per cell]
Br  0.0000  0.0000  0.4918 [2 per cell]
Br  0.2433  0.2433  0.2493 [8 per cell]
Cl  0.0000  0.0000  0.0221 [2 per cell]



Diffraction record for Rb2TaBrCl6. The powder XRD pattern is calculated, not measured: it uses a structure optimized by DFT (PBE) and a wavelength of 1.5418 Å.
Peak positions follow from Bragg's law for the DFT cell and can differ from measured ones.

Peak list (12 most intense, 15° ≤ 2θ ≤ 90°, by angle)
2theta	I/Imax
15.8	100
17.6	42
18.6	58
19.9	36
21.9	29
25.4	37
25.7	50
27.0	34
28.1	45
33.5	44
34.7	37
35.8	38

Cell and atoms:
Lattice parameters (Å, degrees): 6.7103 7.3077 9.8761 102.91 92.73 107.30
Space group P1 (No. 1)
Inequivalent atoms, fractional coordinates:
Rb  0.0000  0.0000  0.0000 [1 per cell]
Rb  0.3997  0.7961  0.5893 [1 per cell]
Ta  0.0367  0.1649  0.4726 [1 per cell]
Br  0.4768  0.9437  0.9310 [1 per cell]
Cl  0.1276  0.9061  0.3211 [1 per cell]
Cl  0.1434  0.3691  0.3155 [1 per cell]
Cl  0.3820  0.2879  0.5932 [1 per cell]
Cl  0.6948  0.0349  0.3536 [1 per cell]
Cl  0.9393  0.9539  0.6308 [1 per cell]
Cl  0.9480  0.4173  0.6255 [1 per cell]



Diffraction record for Rb2TcBrCl6. The powder XRD pattern is calculated, not measured: it uses a structure optimized by DFT (PBE) and a wavelength of 1.5418 Å.
Peak positions follow from Bragg's law for the DFT cell and can differ from measured ones.

Peak list (12 most intense, 15° ≤ 2θ ≤ 90°, by angle)
2theta	I/Imax
15.2	41
21.1	100
22.1	63
25.0	58
29.2	47
29.3	54
29.6	50
33.5	36
33.9	38
34.4	81
44.5	46
45.1	42

Cell and atoms:
Lattice parameters (Å, degrees): 7.0568 7.1013 8.3087 90.45 112.22 119.50
Space group P1 (No. 1)
Inequivalent atoms, fractional coordinates:
Rb  0.0000  0.0000  0.0000 [1 per cell]
Rb  0.1268  0.5649  0.4767 [1 per cell]
Tc  0.5620  0.2760  0.7376 [1 per cell]
Br  0.5604  0.5076  0.2380 [1 per cell]
Cl  0.1821  0.0859  0.4758 [1 per cell]
Cl  0.4071  0.4359  0.8601 [1 per cell]
Cl  0.4307  0.9758  0.8746 [1 per cell]
Cl  0.7018  0.1149  0.5985 [1 per cell]
Cl  0.7066  0.5897  0.6168 [1 per cell]
Cl  0.9415  0.4677  0.9989 [1 per cell]



Diffraction record for Rb2TeBr6Cl. The powder XRD pattern is calculated, not measured: it uses a structure optimized by DFT (PBE) and a wavelength of 1.5418 Å.
Peak positions follow from Bragg's law for the DFT cell and can differ from measured ones.

Peak list (12 most intense, 15° ≤ 2θ ≤ 90°, by angle)
2theta	I/Imax
20.8	13
22.1	21
26.6	99
29.6	100
33.3	39
38.9	15
42.3	34
45.1	60
50.7	25
54.9	31
55.6	12
79.4	18

Cell and atoms:
Lattice parameters (Å, degrees): 8.5461 8.5461 10.7549 90.00 90.00 90.00
Space group I4/mmm (No. 139)
Inequivalent atoms, fractional coordinates:
Rb  0.0000  0.5000  0.2500 [4 per cell]
Te  0.0000  0.0000  0.0000 [2 per cell]
Br  0.0000  0.0000  0.2551 [4 per cell]
Br  0.2256  0.2256  0.0000 [8 per cell]
Cl  0.0000  0.0000  0.5000 [2 per cell]



Diffraction record for Rb2TeBr2Cl4. The powder XRD pattern is calculated, not measured: it uses a structure optimized by DFT (PBE) and a wavelength of 1.5418 Å.
Peak positions follow from Bragg's law for the DFT cell and can differ from measured ones.

Peak list (12 most intense, 15° ≤ 2θ ≤ 90°, by angle)
2theta	I/Imax
16.5	23
23.4	87
27.5	39
28.8	100
33.3	95
33.4	47
41.2	40
47.9	96
56.8	25
59.6	32
79.7	27
89.2	21

Cell and atoms:
Lattice parameters (Å, degrees): 7.6111 7.6111 10.7247 90.00 90.00 90.00
Space group I4/mmm (No. 139)
Inequivalent atoms, fractional coordinates:
Rb  0.0000  0.5000  0.2500 [4 per cell]
Te  0.0000  0.0000  0.0000 [2 per cell]
Br  0.0000  0.0000  0.2548 [4 per cell]
Cl  0.2384  0.2384  0.0000 [8 per cell]



Diffraction record for Rb2TiBr2Cl4. The powder XRD pattern is calculated, not measured: it uses a structure optimized by DFT (PBE) and a wavelength of 1.5418 Å.
Peak positions follow from Bragg's law for the DFT cell and can differ from measured ones.

Peak list (12 most intense, 15° ≤ 2θ ≤ 90°, by angle)
2theta	I/Imax
17.0	12
24.1	31
29.6	100
34.4	74
42.4	13
49.4	48
55.7	8
58.7	36
61.6	15
67.1	9
80.2	14
82.7	19

Cell and atoms:
Lattice parameters (Å, degrees): 7.3797 7.3797 10.4425 90.00 90.00 90.00
Space group I4/mmm (No. 139)
Inequivalent atoms, fractional coordinates:
Rb  0.0000  0.5000  0.2500 [4 per cell]
Ti  0.0000  0.0000  0.0000 [2 per cell]
Br  0.0000  0.0000  0.2441 [4 per cell]
Cl  0.2257  0.2257  0.0000 [8 per cell]



Diffraction record for RbTiBrCl3. The powder XRD pattern is calculated, not measured: it uses a structure optimized by DFT (PBE) and a wavelength of 1.5418 Å.
Peak positions follow from Bragg's law for the DFT cell and can differ from measured ones.

Peak list (12 most intense, 15° ≤ 2θ ≤ 90°, by angle)
2theta	I/Imax
16.0	70
18.0	20
21.5	40
23.1	45
26.9	27
28.1	100
29.0	27
30.1	30
34.5	47
34.7	40
40.0	50
45.1	22

Cell and atoms:
Lattice parameters (Å, degrees): 6.6207 22.2177 6.1617 90.00 90.08 90.00
Space group C2/c (No. 15)
Inequivalent atoms, fractional coordinates:
Rb  0.0000  0.2366  0.2500 [4 per cell]
Ti  0.0000  0.0288  0.7500 [4 per cell]
Br  0.0000  0.3041  0.7500 [4 per cell]
Cl  0.0000  0.1298  0.7500 [4 per cell]
Cl  0.2345  0.0293  0.0614 [8 per cell]